Starting from DFT lattice parameters and positions (GGA-PBE), the powder XRD pattern of Cd2CuGeS4 was computed for a wavelength of 1.5418 Å.
Kinematic intensities with the Lorentz-polarization factor, no thermal factor.

Atomic structure:
Cell lengths 5.744, 5.744, 11.282 Å; angles 90.00, 90.00, 90.00 degrees
Space group I-42m (No. 121)
One atom of each set of equivalent atoms:
Cd  0.000  0.500  0.250 [4 per cell]
Cu  0.000  0.000  0.000 [2 per cell]
Ge  0.000  0.000  0.500 [2 per cell]
S  0.240  0.240  0.888 [8 per cell]

Principal peaks in the range 2θ from 15° to 90°, in order of rising 2θ:
(1 1 2), 2θ 27.05, intensity 100; (2 0 0), 2θ 31.14, intensity 13; (0 0 4), 2θ 31.72, intensity 6; (2 2 0), 2θ 44.62, intensity 20; (2 0 4), 2θ 45.05, intensity 37; (3 1 2), 2θ 52.96, intensity 29; (1 1 6), 2θ 53.72, intensity 14; (3 1 6), 2θ 72.33, intensity 11; (4 2 4), 2θ 82.53, intensity 12; (5 1 2), 2θ 88.52, intensity 7